1.
Computed PXRD pattern
Compound: NaZn2P2HO8
Radiation: copper Kα
Structure: the GGA-PBE geometry in the Materials Project
Peak positions follow from Bragg's law for the DFT cell and can differ from measured ones.

Cell and atoms:
```
data_NaZn2P2HO8
_chemical_formula_sum 'Na2 Zn4 P4 H2 O16'
_cell_length_a 5.1825
_cell_length_b 8.7382
_cell_length_c 8.9703
_cell_angle_alpha 96.99
_cell_angle_beta 100.25
_cell_angle_gamma 106.34
_space_group_name_H-M_alt 'P -1'
_space_group_IT_number 2
loop_
_space_group_symop_operation_xyz
'x,y,z'
'-x,-y,-z'
loop_
_atom_site_label
_atom_site_fract_x
_atom_site_fract_y
_atom_site_fract_z
Na1 0.0923 0.3134 0.3116
Zn1 0.1761 0.8824 0.1076
Zn2 0.2777 0.3868 0.7424
P1 0.3422 0.7458 0.4169
P2 0.4073 0.2492 0.0604
H1 0.4220 0.9309 0.6214
O1 0.0877 0.5970 0.3458
O2 0.2246 0.2385 0.8947
O3 0.2255 0.1146 0.1291
O4 0.2979 0.8153 0.5805
O5 0.3107 0.7711 0.9509
O6 0.3669 0.8833 0.3210
O7 0.3927 0.3034 0.5569
O8 0.4402 0.4107 0.1635
```

Top 8 peaks for 2θ from 10° to 90°, in order of rising 2θ:
- 2θ 16.12, I = 100, hkl 0 1 1
- 2θ 19.75, I = 83, hkl -1 1 1
- 2θ 21.55, I = 42, hkl 0 2 0
- 2θ 23.60, I = 66, hkl 1 -2 0
- 2θ 26.99, I = 53, hkl 0 2 -2
- 2θ 29.05, I = 67, hkl 1 -1 2
- 2θ 32.32, I = 52, hkl 0 3 -1
- 2θ 32.58, I = 50, hkl 1 2 0

2.
Computed PXRD pattern
Compound: NaZnP2HO7
Radiation: copper Kα
Structure: the GGA-PBE geometry in the Materials Project
Peak positions follow from Bragg's law for the DFT cell and can differ from measured ones.

Cell and atoms:
```
data_NaZnP2HO7
_chemical_formula_sum 'Na2 Zn2 P4 H2 O14'
_cell_length_a 6.5632
_cell_length_b 6.6183
_cell_length_c 6.8301
_cell_angle_alpha 84.19
_cell_angle_beta 66.52
_cell_angle_gamma 88.52
_space_group_name_H-M_alt 'P -1'
_space_group_IT_number 2
loop_
_space_group_symop_operation_xyz
'x,y,z'
'-x,-y,-z'
loop_
_atom_site_label
_atom_site_fract_x
_atom_site_fract_y
_atom_site_fract_z
Na1 0.2158 0.3535 0.2576
Zn1 0.2165 0.8513 0.8732
P1 0.2421 0.3580 0.7829
P2 0.3332 0.8759 0.3639
H1 0.0658 0.7092 0.2993
O1 0.1190 0.4081 0.6344
O2 0.1342 0.1724 0.9481
O3 0.1639 0.8776 0.5924
O4 0.2256 0.7899 0.2201
O5 0.2764 0.5358 0.8924
O6 0.4519 0.0753 0.2523
O7 0.4853 0.2888 0.6250
```

Top 8 peaks for 2θ from 10° to 90°, in order of rising 2θ:
- 2θ 15.88, I = 99, hkl 1 0 1
- 2θ 19.83, I = 33, hkl 1 -1 0
- 2θ 26.46, I = 80, hkl 1 0 2
- 2θ 28.58, I = 74, hkl 1 1 2
- 2θ 29.68, I = 81, hkl 2 0 0
- 2θ 30.75, I = 100, hkl 1 -2 0
- 2θ 31.17, I = 79, hkl 1 2 0
- 2θ 41.86, I = 38, hkl 2 0 3

3.
Computed PXRD pattern
Compound: Na4ZnP6H12O24
Radiation: copper Kα
Structure: the GGA-PBE geometry in the Materials Project
Peak positions follow from Bragg's law for the DFT cell and can differ from measured ones.

Cell and atoms:
```
data_Na4ZnP6H12O24
_chemical_formula_sum 'Na4 Zn1 P6 H12 O24'
_cell_length_a 7.3560
_cell_length_b 9.3116
_cell_length_c 9.5484
_cell_angle_alpha 65.60
_cell_angle_beta 74.88
_cell_angle_gamma 71.92
_space_group_name_H-M_alt 'P -1'
_space_group_IT_number 2
loop_
_space_group_symop_operation_xyz
'x,y,z'
'-x,-y,-z'
loop_
_atom_site_label
_atom_site_fract_x
_atom_site_fract_y
_atom_site_fract_z
Na1 0.1343 0.2167 0.0363
Na2 0.3622 0.8288 0.9117
Zn1 0.5000 0.0000 0.5000
P1 0.1944 0.7556 0.6282
P2 0.3537 0.8693 0.2902
P3 0.4580 0.4303 0.7638
H1 0.0236 0.8968 0.1651
H2 0.1737 0.2089 0.3964
H3 0.1827 0.1372 0.7534
H4 0.1826 0.2490 0.5394
H5 0.2074 0.5885 0.1483
H6 0.2289 0.5337 0.0114
O1 0.0135 0.2250 0.2981
O2 0.1059 0.0963 0.8542
O3 0.1583 0.6232 0.0483
O4 0.1947 0.8150 0.4421
O5 0.2593 0.1912 0.4714
O6 0.2588 0.9193 0.1510
O7 0.2890 0.5641 0.6684
O8 0.3200 0.8358 0.6596
O9 0.3571 0.5164 0.2828
O10 0.3740 0.3651 0.9339
O11 0.4446 0.9908 0.2975
O12 0.4749 0.2925 0.6920
```

Top 8 peaks for 2θ from 10° to 90°, in order of rising 2θ:
- 2θ 10.72, I = 50, hkl 0 1 0
- 2θ 12.81, I = 100, hkl 1 0 0
- 2θ 14.20, I = 41, hkl 1 1 1
- 2θ 19.54, I = 32, hkl 0 1 2
- 2θ 27.19, I = 41, hkl 2 2 1
- 2θ 27.61, I = 36, hkl 1 -2 0
- 2θ 28.66, I = 41, hkl 1 1 3
- 2θ 37.60, I = 36, hkl 2 -2 0

Q: What is the formula in the second record?
A: NaZnP2HO7